The following is a theoretical powder X-ray diffraction pattern of AcSm4Ho2Tm. It was derived from DFT lattice parameters and positions (GGA-PBE), using Cu Kα X-rays.

Structural model:
```
AcSm4Ho2Tm
1.0
6.273 0.000 0.000
2.068 5.923 0.000
0.016 -0.004 7.266
Ac Sm Ho Tm
1 4 2 1
Cartesian
0.000 0.000 0.000
1.040 2.960 1.858
7.317 2.960 5.408
5.207 5.922 1.860
3.150 -0.002 5.406
0.008 -0.002 3.633
4.171 2.962 0.000
4.179 2.960 3.633
```

Largest 10 diffraction maxima, sorted by position, 5° ≤ 2θ ≤ 70°:
- 17.3 deg, 5.115 Å, rel. 7, (1 1 0)
- 30.2 deg, 2.962 Å, rel. 1000, (2 0 0)
- 34.9 deg, 2.569 Å, rel. 340, (1 -1 2)
- 35.1 deg, 2.558 Å, rel. 168, (2 2 0)
- 50.3 deg, 1.816 Å, rel. 183, (2 -2 0)
- 50.4 deg, 1.812 Å, rel. 182, (1 3 2)
- 59.7 deg, 1.549 Å, rel. 182, (3 -1 2)
- 59.8 deg, 1.547 Å, rel. 109, (-1 3 2)
- 59.9 deg, 1.544 Å, rel. 145, (4 2 0)
- 62.7 deg, 1.481 Å, rel. 125, (4 0 0)